The following is a computed X-ray powder pattern of Ba2UCrO6. It was derived from DFT lattice parameters and positions (GGA+U), using λ = 1.5418 Å (Cu Kα).
Neutral-atom scattering factors, no anomalous dispersion.

Structure:
```
Ba2UCrO6
1.0
0.000 4.209 4.209
4.209 0.000 4.209
4.209 4.209 0.000
Ba U Cr O
2 1 1 6
direct
0.250 0.250 0.250 Ba
0.750 0.750 0.750 Ba
0.000 0.000 0.000 U
0.500 0.500 0.500 Cr
0.256 0.256 0.744 O
0.256 0.744 0.256 O
0.256 0.744 0.744 O
0.744 0.256 0.256 O
0.744 0.256 0.744 O
0.744 0.744 0.256 O
```

Largest 10 diffraction maxima, in order of rising 2θ, 10° ≤ 2θ ≤ 90°:
18.25 deg, intensity 23
30.02 deg, intensity 100
35.36 deg, intensity 15
42.97 deg, intensity 29
47.05 deg, intensity 8
53.31 deg, intensity 41
62.40 deg, intensity 18
70.78 deg, intensity 18
78.76 deg, intensity 6
86.51 deg, intensity 22